(1)
CsNd: theoretical X-ray powder pattern (λ = 1.5418 Å (Cu Kα)), based on a cell relaxed with PBE.

Atomic structure:
a = 3.9085 Å, b = 3.9085 Å, c = 23.1197 Å
α = 90.00°, β = 90.00°, γ = 120.00°
Space group R-3m (No. 166, hexagonal axes)
Inequivalent atoms, fractional coordinates:
1 Cs 0.0000 0.0000 0.0000 (multiplicity 3)
2 Nd 0.0000 0.0000 0.5000 (multiplicity 3)

Largest 8 diffraction maxima, low angle first, 5 to 70 degrees two-theta:
- hkl 0 0 6, d = 3.853 Å, I = 51
- hkl 0 1 2, d = 3.248 Å, I = 100
- hkl 1 0 4, d = 2.921 Å, I = 75
- hkl 0 1 8, d = 2.198 Å, I = 34
- hkl 1 1 0, d = 1.954 Å, I = 24
- hkl 1 0 10, d = 1.909 Å, I = 22
- hkl 1 1 6, d = 1.743 Å, I = 33
- hkl 1 1 12, d = 1.372 Å, I = 15

(2)
CsNd3: theoretical X-ray powder pattern (λ = 1.5418 Å (Cu Kα)), based on a cell relaxed with PBE.

Atomic structure:
a = 5.445 Å, b = 5.445 Å, c = 10.811 Å
α = 90.00°, β = 90.00°, γ = 90.00°
Space group I4/mmm (No. 139)
Inequivalent atoms, fractional coordinates:
1 Cs 0.000 0.000 0.000 (multiplicity 2)
2 Nd 0.000 0.000 0.500 (multiplicity 2)
3 Nd 0.000 0.500 0.250 (multiplicity 4)

Largest 8 diffraction maxima, low angle first, 5 to 70 degrees two-theta:
- hkl 1 1 2, d = 3.136 Å, I = 100
- hkl 2 0 0, d = 2.722 Å, I = 34
- hkl 0 0 4, d = 2.703 Å, I = 17
- hkl 2 2 0, d = 1.925 Å, I = 12
- hkl 2 0 4, d = 1.918 Å, I = 25
- hkl 3 1 2, d = 1.641 Å, I = 30
- hkl 1 1 6, d = 1.632 Å, I = 15
- hkl 2 2 4, d = 1.568 Å, I = 13

(3)
CsNdO3: theoretical X-ray powder pattern (λ = 1.5418 Å (Cu Kα)), based on a cell relaxed with PBE.

Atomic structure:
a = 4.718 Å, b = 4.718 Å, c = 4.718 Å
α = 90.00°, β = 90.00°, γ = 90.00°
Space group Pm-3m (No. 221)
Inequivalent atoms, fractional coordinates:
1 Cs 0.000 0.000 0.000 (multiplicity 1)
2 Nd 0.500 0.500 0.500 (multiplicity 1)
3 O 0.000 0.500 0.500 (multiplicity 3)

Largest 8 diffraction maxima, low angle first, 5 to 70 degrees two-theta:
- hkl 1 0 0, d = 4.718 Å, I = 2
- hkl 1 1 0, d = 3.336 Å, I = 100
- hkl 2 0 0, d = 2.359 Å, I = 31
- hkl 2 1 0, d = 2.110 Å, I = 1
- hkl 2 1 1, d = 1.926 Å, I = 43
- hkl 2 2 0, d = 1.668 Å, I = 20
- hkl 3 1 0, d = 1.492 Å, I = 19
- hkl 2 2 2, d = 1.362 Å, I = 7

(4)
CsNdP4O12: theoretical X-ray powder pattern (λ = 1.5418 Å (Cu Kα)), based on a cell relaxed with PBE.

Atomic structure:
a = 7.231 Å, b = 9.317 Å, c = 8.913 Å
α = 90.00°, β = 99.60°, γ = 90.00°
Space group P2_1 (No. 4)
Inequivalent atoms, fractional coordinates:
1 Cs 0.169 0.000 0.173 (multiplicity 2)
2 Nd 0.300 0.165 0.698 (multiplicity 2)
3 P 0.145 0.538 0.542 (multiplicity 2)
4 P 0.192 0.592 0.226 (multiplicity 2)
5 P 0.417 0.391 0.071 (multiplicity 2)
6 P 0.439 0.775 0.624 (multiplicity 2)
7 O 0.010 0.136 0.817 (multiplicity 2)
8 O 0.043 0.110 0.493 (multiplicity 2)
9 O 0.162 0.402 0.633 (multiplicity 2)
10 O 0.224 0.464 0.110 (multiplicity 2)
11 O 0.224 0.506 0.386 (multiplicity 2)
12 O 0.288 0.651 0.637 (multiplicity 2)
13 O 0.344 0.702 0.232 (multiplicity 2)
14 O 0.348 0.918 0.594 (multiplicity 2)
15 O 0.361 0.318 0.923 (multiplicity 2)
16 O 0.424 0.996 0.907 (multiplicity 2)
17 O 0.425 0.221 0.473 (multiplicity 2)
18 O 0.453 0.266 0.200 (multiplicity 2)

Largest 8 diffraction maxima, low angle first, 5 to 70 degrees two-theta:
- hkl 0 1 1, d = 6.393 Å, I = 89
- hkl 1 1 0, d = 5.662 Å, I = 87
- hkl 1 1 1, d = 4.496 Å, I = 58
- hkl 1 0 -2, d = 4.055 Å, I = 73
- hkl 1 2 0, d = 3.900 Å, I = 72
- hkl 1 0 2, d = 3.490 Å, I = 63
- hkl 1 2 1, d = 3.450 Å, I = 100
- hkl 0 3 1, d = 2.928 Å, I = 76